Diffraction record for Cs2CoAgF6. The powder diffractogram is computed, not measured: it uses DFT lattice parameters and positions (GGA+U) and Cu Ka.

Top 10 peaks for 15° ≤ 2θ ≤ 90°, low angle first:
3.167 Å, 2θ 28.17, I 100
3.146 Å, 2θ 28.37, I 48
2.580 Å, 2θ 34.77, I 13
2.255 Å, 2θ 39.99, I 17
2.225 Å, 2θ 40.55, I 34
1.833 Å, 2θ 49.75, I 19
1.821 Å, 2θ 50.11, I 38
1.584 Å, 2θ 58.26, I 20
1.408 Å, 2θ 66.40, I 18
1.199 Å, 2θ 79.99, I 11

Structure:
a = 6.2926 Å, b = 6.2926 Å, c = 9.0192 Å
α = 90.00°, β = 90.00°, γ = 90.00°
Space group I4/mmm (No. 139)
Symmetry-distinct sites (fractional):
Cs: 0.0000 0.5000 0.2500
Co: 0.0000 0.0000 0.0000
Ag: 0.0000 0.0000 0.5000
F: 0.0000 0.0000 0.2104
F: 0.2240 0.2240 0.0000